Diffraction record for NaAsO6. The powder XRD pattern is calculated, not measured: it uses a crystal structure in Alexandria, relaxed with GGA-PBE and Cu Kα.
Peak positions follow from Bragg's law for the DFT cell and can differ from measured ones.

Crystal structure
```
NaAsO6
1.0
6.9521 0.0000 0.0000
0.0000 5.0958 0.0000
-1.7528 0.0000 7.7916
Na As O
2 2 12
Direct
0.0612 0.0000 0.3514 Na
0.9388 0.5000 0.6486 Na
0.4286 0.7772 0.6188 As
0.5714 0.2772 0.3812 As
0.1083 0.6416 0.0917 O
0.1487 0.4621 0.2005 O
0.1900 0.6708 0.5521 O
0.2967 0.2762 0.8582 O
0.3541 0.1218 0.9788 O
0.4118 0.0232 0.4401 O
0.5882 0.5232 0.5599 O
0.6459 0.6218 0.0212 O
0.7033 0.7762 0.1418 O
0.8100 0.1708 0.4479 O
0.8513 0.9621 0.7995 O
0.8917 0.1416 0.9083 O
```

The 12 most intense peaks (10 to 80 degrees two-theta), in order of rising 2θ:
| 2theta | intensity |
| --- | --- |
| 11.36 | 777 |
| 13.05 | 410 |
| 19.14 | 274 |
| 23.27 | 931 |
| 28.85 | 1000 |
| 29.56 | 486 |
| 30.98 | 428 |
| 31.68 | 559 |
| 37.72 | 200 |
| 40.39 | 236 |
| 42.95 | 218 |
| 43.77 | 295 |